Entry 1:
Diffraction record for CeAs12Rh4. The XRD peak list is theoretical, not measured: it uses a DFT-relaxed cell (GGA-PBE, Alexandria) and Cu Kα (weighted mean of Kα1 and Kα2).
Lines closer than 0.1° are merged.

Structural model:
Cell: 7.5016 7.5016 7.5016 Å, 109.47 109.47 109.47°
Atoms (fractional coordinates):
Ce 0.0000 0.0000 0.0000
As 0.1458 0.3446 0.4905
As 0.1458 0.6554 0.8012
As 0.1988 0.8542 0.3446
As 0.3446 0.1988 0.8542
As 0.3446 0.4905 0.1458
As 0.4905 0.1458 0.3446
As 0.5095 0.8542 0.6554
As 0.6554 0.5095 0.8542
As 0.6554 0.8012 0.1458
As 0.8012 0.1458 0.6554
As 0.8542 0.3446 0.1988
As 0.8542 0.6554 0.5095
Rh 0.0000 0.0000 0.5000
Rh 0.0000 0.5000 0.0000
Rh 0.5000 0.0000 0.0000
Rh 0.5000 0.5000 0.5000

Top 12 peaks for 10 to 80 degrees two-theta, sorted by position:
2θ/deg, I (rel.)
20.51, 75
29.16, 331
32.69, 1000
38.90, 478
41.71, 57
46.91, 339
51.70, 470
53.98, 383
62.52, 78
68.51, 144
74.26, 133
76.14, 114

---

Entry 2:
Diffraction record for Ce2SnAs3Rh4. The XRD peak list is theoretical, not measured: it uses a DFT-relaxed cell (GGA-PBE, Alexandria) and Cu Kα (weighted mean of Kα1 and Kα2).
Lines closer than 0.1° are merged.

Structural model:
Cell: 4.1435 4.1435 11.0112 Å, 90.00 90.00 90.00°
Atoms (fractional coordinates):
Ce 0.0000 0.5000 0.2374
Ce 0.5000 0.0000 0.7627
Sn 0.0000 0.0000 0.5000
As 0.0000 0.5000 0.8699
As 0.5000 0.0000 0.1301
As 0.5000 0.5000 0.5000
Rh 0.0000 0.0000 0.0000
Rh 0.0000 0.5000 0.6521
Rh 0.5000 0.0000 0.3479
Rh 0.5000 0.5000 0.0000

Top 12 peaks for 10 to 80 degrees two-theta, sorted by position:
2θ/deg, I (rel.)
30.51, 66
32.58, 434
34.68, 1000
43.69, 496
45.20, 173
46.71, 259
55.54, 217
59.43, 72
63.50, 161
65.87, 183
73.21, 60
74.43, 215

---

Entry 3:
Diffraction record for CeTh2As2Rh7. The XRD peak list is theoretical, not measured: it uses a DFT-relaxed cell (GGA-PBE, Alexandria) and Cu Kα (weighted mean of Kα1 and Kα2).
Lines closer than 0.1° are merged.

Structural model:
Cell: 4.0698 4.0698 13.7284 Å, 96.35 96.35 89.40°
Atoms (fractional coordinates):
Ce 0.0000 0.0000 0.0000
Th 0.1220 0.1220 0.3524
Th 0.8780 0.8780 0.6476
As 0.4067 0.4067 0.7476
As 0.5933 0.5933 0.2524
Rh 0.0578 0.5576 0.1561
Rh 0.3531 0.3531 0.5687
Rh 0.4424 0.9422 0.8439
Rh 0.5000 0.5000 0.0000
Rh 0.5576 0.0578 0.1561
Rh 0.6469 0.6469 0.4313
Rh 0.9422 0.4424 0.8439

Top 12 peaks for 10 to 80 degrees two-theta, sorted by position:
2θ/deg, I (rel.)
27.93, 309
31.25, 470
31.99, 532
34.42, 323
35.95, 640
36.40, 457
37.18, 1000
37.87, 528
39.88, 232
43.67, 400
44.56, 951
65.18, 337

---

Entry 4:
Diffraction record for CeVAs2Rh5. The XRD peak list is theoretical, not measured: it uses a DFT-relaxed cell (GGA-PBE, Alexandria) and Cu Kα (weighted mean of Kα1 and Kα2).
Lines closer than 0.1° are merged.

Structural model:
Cell: 3.9923 3.9923 10.6151 Å, 90.00 90.00 90.00°
Atoms (fractional coordinates):
Ce 0.0000 0.0000 0.0000
V 0.0000 0.0000 0.5000
As 0.5000 0.5000 0.2271
As 0.5000 0.5000 0.7729
Rh 0.0000 0.5000 0.3571
Rh 0.0000 0.5000 0.6429
Rh 0.5000 0.0000 0.3571
Rh 0.5000 0.0000 0.6429
Rh 0.5000 0.5000 0.0000

Top 12 peaks for 10 to 80 degrees two-theta, sorted by position:
2θ/deg, I (rel.)
25.17, 557
27.97, 352
32.83, 985
36.04, 192
40.89, 150
45.44, 648
46.99, 1000
52.64, 289
66.21, 205
70.49, 108
72.03, 112
75.90, 171

---

Entry 5:
Diffraction record for CeAs3Ru. The XRD peak list is theoretical, not measured: it uses a DFT-relaxed cell (GGA-PBE, Alexandria) and Cu Kα (weighted mean of Kα1 and Kα2).
Lines closer than 0.1° are merged.

Structural model:
Cell: 12.0228 5.7330 5.7368 Å, 90.00 90.00 90.00°
Atoms (fractional coordinates):
Ce 0.1933 0.0026 0.2500
Ce 0.1933 0.4974 0.7500
Ce 0.8067 0.5026 0.2500
Ce 0.8067 0.9974 0.7500
As 0.0021 0.7500 0.0000
As 0.0021 0.7500 0.5000
As 0.2785 0.0048 0.7500
As 0.2785 0.4952 0.2500
As 0.4343 0.1109 0.2500
As 0.4343 0.3891 0.7500
As 0.5657 0.6109 0.2500
As 0.5657 0.8891 0.7500
As 0.7215 0.5048 0.7500
As 0.7215 0.9952 0.2500
As 0.9979 0.2500 0.0000
As 0.9979 0.2500 0.5000
Ru 0.4080 0.7500 0.0000
Ru 0.4080 0.7500 0.5000
Ru 0.5920 0.2500 0.0000
Ru 0.5920 0.2500 0.5000

Top 12 peaks for 10 to 80 degrees two-theta, sorted by position:
2θ/deg, I (rel.)
23.15, 240
34.66, 1000
37.24, 708
37.40, 239
38.14, 207
38.61, 383
41.81, 191
44.69, 578
59.53, 244
59.65, 194
65.05, 182
75.86, 284

---

Entry 6:
Diffraction record for Ce5AsS4. The XRD peak list is theoretical, not measured: it uses a DFT-relaxed cell (GGA-PBE, Alexandria) and Cu Kα (weighted mean of Kα1 and Kα2).
Lines closer than 0.1° are merged.

Structural model:
Cell: 14.6328 14.6328 14.6328 Å, 164.05 164.05 22.63°
Atoms (fractional coordinates):
Ce 0.0000 0.0000 0.0000
Ce 0.2003 0.2003 0.0000
Ce 0.3979 0.3979 0.0000
Ce 0.6021 0.6021 0.0000
Ce 0.7997 0.7997 0.0000
As 0.5000 0.5000 0.0000
S 0.1006 0.1006 0.0000
S 0.2991 0.2991 0.0000
S 0.7009 0.7009 0.0000
S 0.8994 0.8994 0.0000

Top 12 peaks for 10 to 80 degrees two-theta, sorted by position:
2θ/deg, I (rel.)
22.11, 6
26.90, 544
31.00, 8
31.16, 1000
40.24, 5
44.65, 724
52.90, 267
55.44, 251
64.98, 116
71.65, 107
73.81, 214
73.83, 105

---

Entry 7:
Diffraction record for Ce2AsS5. The XRD peak list is theoretical, not measured: it uses a DFT-relaxed cell (GGA-PBE, Alexandria) and Cu Kα (weighted mean of Kα1 and Kα2).
Lines closer than 0.1° are merged.

Structural model:
Cell: 7.6372 10.9605 3.9678 Å, 90.00 90.00 90.00°
Atoms (fractional coordinates):
Ce 0.0733 0.1718 0.0000
Ce 0.4267 0.6718 0.0000
Ce 0.5733 0.3282 0.0000
Ce 0.9267 0.8282 0.0000
As 0.0000 0.5000 0.5000
As 0.5000 0.0000 0.5000
S 0.0000 0.0000 0.5000
S 0.1472 0.7046 0.5000
S 0.1874 0.4264 0.0000
S 0.3126 0.9264 0.0000
S 0.3528 0.2046 0.5000
S 0.5000 0.5000 0.5000
S 0.6472 0.7954 0.5000
S 0.6874 0.0736 0.0000
S 0.8126 0.5736 0.0000
S 0.8528 0.2954 0.5000

Top 12 peaks for 10 to 80 degrees two-theta, sorted by position:
2θ/deg, I (rel.)
23.29, 374
24.69, 336
26.59, 529
27.05, 801
27.76, 299
33.58, 1000
35.41, 638
36.54, 627
45.45, 306
45.73, 359
48.95, 295
53.94, 353

---

Entry 8:
Diffraction record for CeScAsS. The XRD peak list is theoretical, not measured: it uses a DFT-relaxed cell (GGA-PBE, Alexandria) and Cu Kα (weighted mean of Kα1 and Kα2).
Lines closer than 0.1° are merged.

Structural model:
Cell: 6.8601 6.8601 6.8601 Å, 33.56 33.56 33.56°
Atoms (fractional coordinates):
Ce 0.0000 0.0000 0.0000
Sc 0.5039 0.5039 0.5039
As 0.7595 0.7595 0.7595
S 0.2440 0.2440 0.2440

Top 12 peaks for 10 to 80 degrees two-theta, sorted by position:
2θ/deg, I (rel.)
13.69, 198
26.39, 225
27.58, 127
31.96, 1000
34.91, 161
41.90, 67
45.82, 701
54.32, 69
56.95, 237
63.82, 84
66.81, 107
75.98, 289

---

Entry 9:
Diffraction record for TbCeAsS. The XRD peak list is theoretical, not measured: it uses a DFT-relaxed cell (GGA-PBE, Alexandria) and Cu Kα (weighted mean of Kα1 and Kα2).
Lines closer than 0.1° are merged.

Structural model:
Cell: 7.0694 7.0694 7.0694 Å, 33.62 33.62 33.62°
Atoms (fractional coordinates):
Tb 0.0000 0.0000 0.0000
Ce 0.5037 0.5037 0.5037
As 0.7501 0.7501 0.7501
S 0.2546 0.2546 0.2546

Top 12 peaks for 10 to 80 degrees two-theta, sorted by position:
2θ/deg, I (rel.)
13.29, 22
25.55, 24
26.72, 396
30.95, 1000
44.34, 733
52.53, 195
55.03, 193
55.13, 63
64.51, 118
71.09, 59
71.20, 19
73.26, 325

---

Entry 10:
Diffraction record for Ce8Sb4As3. The XRD peak list is theoretical, not measured: it uses a DFT-relaxed cell (GGA-PBE, Alexandria) and Cu Kα (weighted mean of Kα1 and Kα2).
Lines closer than 0.1° are merged.

Structural model:
Cell: 8.7059 8.7059 8.6860 Å, 119.90 119.90 90.01°
Atoms (fractional coordinates):
Ce 0.2441 0.7559 0.0000
Ce 0.2459 0.2459 0.0063
Ce 0.2464 0.2464 0.4861
Ce 0.2534 0.7466 0.5000
Ce 0.7466 0.2534 0.5000
Ce 0.7536 0.7536 0.5139
Ce 0.7541 0.7541 0.9937
Ce 0.7559 0.2441 0.0000
Sb 0.0000 0.0000 0.5000
Sb 0.0000 0.5000 0.0000
Sb 0.5000 0.0000 0.0000
Sb 0.5000 0.5000 0.0000
As 0.0000 0.0000 0.0000
As 0.0000 0.5000 0.5000
As 0.5000 0.0000 0.5000

Top 12 peaks for 10 to 80 degrees two-theta, sorted by position:
2θ/deg, I (rel.)
25.05, 89
29.00, 1000
41.36, 127
41.48, 501
41.59, 123
51.31, 135
51.50, 131
60.11, 123
67.93, 57
68.10, 224
75.51, 84
75.80, 121

---

Entry 11:
Diffraction record for CeTh2ScAs4. The XRD peak list is theoretical, not measured: it uses a DFT-relaxed cell (GGA-PBE, Alexandria) and Cu Kα (weighted mean of Kα1 and Kα2).
Lines closer than 0.1° are merged.

Structural model:
Cell: 7.1857 4.1787 7.2137 Å, 90.00 109.62 90.00°
Atoms (fractional coordinates):
Ce 0.0000 0.0000 0.0000
Th 0.5000 0.0000 0.5000
Th 0.5000 0.5000 0.0000
Sc 0.0000 0.5000 0.5000
As 0.2340 0.0000 0.7371
As 0.2391 0.5000 0.2547
As 0.7609 0.5000 0.7453
As 0.7660 0.0000 0.2629

Top 12 peaks for 10 to 80 degrees two-theta, sorted by position:
2θ/deg, I (rel.)
13.07, 152
25.04, 142
26.18, 167
30.37, 1000
43.31, 127
43.42, 251
43.58, 368
53.82, 134
63.18, 122
71.61, 113
71.80, 110
79.57, 86

---

Entry 12:
Diffraction record for Ce2AsSe2. The XRD peak list is theoretical, not measured: it uses a DFT-relaxed cell (GGA-PBE, Alexandria) and Cu Kα (weighted mean of Kα1 and Kα2).
Lines closer than 0.1° are merged.

Structural model:
Cell: 6.0398 4.4817 10.5659 Å, 90.00 98.59 90.00°
Atoms (fractional coordinates):
Ce 0.2017 0.2500 0.4424
Ce 0.2190 0.7500 0.8787
Ce 0.7810 0.2500 0.1213
Ce 0.7983 0.7500 0.5576
As 0.0165 0.7500 0.2864
As 0.9835 0.2500 0.7136
Se 0.2726 0.2500 0.0602
Se 0.3484 0.7500 0.6144
Se 0.6516 0.2500 0.3856
Se 0.7274 0.7500 0.9398

Top 12 peaks for 10 to 80 degrees two-theta, sorted by position:
2θ/deg, I (rel.)
20.85, 215
21.58, 359
27.01, 274
29.92, 250
31.51, 292
32.23, 501
32.56, 1000
38.26, 668
40.25, 406
40.89, 288
48.24, 176
52.48, 276